This entry pairs a crystal structure of In2CoH6Ir with its simulated X-ray powder pattern. Radiation: a wavelength of 1.5418 Å. Structure: a cell relaxed with PBE.
Lines closer than 0.1° are merged.

The 6 most intense peaks (2θ = 10–90°), low angle first:
| 2θ (°) | Rel. int. | hkl |
| --- | --- | --- |
| 20.93 | 23 | 2 0 0 |
| 28.78 | 91 | 1 1 1 |
| 38.10 | 35 | 0 2 0 |
| 38.29 | 34 | 0 0 2 |
| 41.88 | 100 | 3 1 1 |
| 55.12 | 24 | 0 2 2 |

```
data_In2CoH6Ir
_cell_length_a 8.489
_cell_length_b 4.724
_cell_length_c 4.701
_cell_angle_alpha 90.00
_cell_angle_beta 90.00
_cell_angle_gamma 90.00
_space_group_name_H-M_alt 'C 1 m 1'
_space_group_IT_number 8
loop_
_space_group_symop_operation_xyz
'x,y,z'
'x,-y,z'
'x+1/2,y+1/2,z'
'x+1/2,-y+1/2,z'
loop_
_atom_site_label
_atom_site_fract_x
_atom_site_fract_y
_atom_site_fract_z
In1 0.000 0.000 0.000
In2 0.017 0.500 0.500
Co1 0.325 0.500 0.500
H1 0.009 0.000 0.500
H2 0.017 0.500 0.001
H3 0.254 0.252 0.257
H4 0.254 0.252 0.743
Ir1 0.319 0.000 0.000
```

=====

This entry pairs a crystal structure of PuInCo2H8 with its simulated X-ray powder pattern. Radiation: a wavelength of 1.5418 Å. Structure: a cell relaxed with PBE.
Lines closer than 0.1° are merged.

The 6 most intense peaks (2θ = 10–90°), low angle first:
| 2θ (°) | Rel. int. | hkl |
| --- | --- | --- |
| 24.76 | 65 | 1 0 0 |
| 28.11 | 32 | 1 0 1 |
| 36.49 | 100 | 0 1 2 |
| 43.59 | 41 | 1 1 0 |
| 58.11 | 26 | 2 0 2 |
| 75.37 | 24 | 1 2 2 |

```
data_PuInCo2H8
_cell_length_a 4.1525
_cell_length_b 4.1525
_cell_length_c 6.7585
_cell_angle_alpha 90.00
_cell_angle_beta 90.00
_cell_angle_gamma 120.00
_space_group_name_H-M_alt 'P -3'
_space_group_IT_number 147
loop_
_space_group_symop_operation_xyz
'x,y,z'
'-x,-y,-z'
'-y,x-y,z'
'y,-x+y,-z'
'-x+y,-x,z'
'x-y,x,-z'
loop_
_atom_site_label
_atom_site_fract_x
_atom_site_fract_y
_atom_site_fract_z
Pu1 0.0000 0.0000 0.0000
In1 0.0000 0.0000 0.5000
Co1 0.3333 0.6667 0.7161
H1 0.0623 0.6731 0.2589
H2 0.3333 0.6667 0.9475
```

=====

This entry pairs a crystal structure of Co4HIr with its simulated X-ray powder pattern. Radiation: a wavelength of 1.5418 Å. Structure: a cell relaxed with PBE.
Lines closer than 0.1° are merged.

The 6 most intense peaks (2θ = 10–90°), low angle first:
| 2θ (°) | Rel. int. | hkl |
| --- | --- | --- |
| 41.78 | 100 | 3 1 -1 |
| 43.26 | 100 | 10 0 0 |
| 45.11 | 92 | 5 1 -1 |
| 45.40 | 49 | 4 0 2 |
| 46.50 | 100 | 5 1 1 |
| 46.96 | 51 | 6 0 -2 |

```
data_Co4HIr
_cell_length_a 20.962
_cell_length_b 2.607
_cell_length_c 4.457
_cell_angle_alpha 90.00
_cell_angle_beta 93.90
_cell_angle_gamma 90.00
_space_group_name_H-M_alt 'C 1 2/m 1'
_space_group_IT_number 12
loop_
_space_group_symop_operation_xyz
'x,y,z'
'-x,-y,-z'
'-x,y,-z'
'x,-y,z'
'x+1/2,y+1/2,z'
'-x+1/2,-y+1/2,-z'
'-x+1/2,y+1/2,-z'
'x+1/2,-y+1/2,z'
loop_
_atom_site_label
_atom_site_fract_x
_atom_site_fract_y
_atom_site_fract_z
Co1 0.000 0.000 0.000
Co2 0.000 0.500 0.500
Co3 0.098 0.000 0.712
Co4 0.099 0.500 0.191
Co5 0.196 0.000 0.066
H1 0.049 0.000 0.351
Ir1 0.197 0.500 0.572
```

=====

This entry pairs a crystal structure of CoSn2H6Ir with its simulated X-ray powder pattern. Radiation: a wavelength of 1.5418 Å. Structure: a cell relaxed with PBE.
Lines closer than 0.1° are merged.

The 6 most intense peaks (2θ = 10–90°), low angle first:
| 2θ (°) | Rel. int. | hkl |
| --- | --- | --- |
| 18.27 | 78 | 1 0 0 |
| 26.94 | 94 | 0 1 1 |
| 27.15 | 98 | 1 1 0 |
| 28.01 | 78 | 1 0 1 |
| 41.81 | 100 | 0 1 2 |
| 43.45 | 74 | 2 1 -1 |

```
data_CoSn2H6Ir
_cell_length_a 4.939
_cell_length_b 4.458
_cell_length_c 5.025
_cell_angle_alpha 90.00
_cell_angle_beta 100.49
_cell_angle_gamma 90.00
_space_group_name_H-M_alt 'P 1 m 1'
_space_group_IT_number 6
loop_
_space_group_symop_operation_xyz
'x,y,z'
'x,-y,z'
loop_
_atom_site_label
_atom_site_fract_x
_atom_site_fract_y
_atom_site_fract_z
Co1 0.000 0.000 0.000
Sn1 0.485 0.000 0.933
Sn2 0.960 0.500 0.247
H1 0.087 0.000 0.306
H2 0.415 0.500 0.796
H3 0.541 0.259 0.474
H4 0.985 0.229 0.739
Ir1 0.708 0.500 0.683
```

=====

This entry pairs a crystal structure of KCoH3 with its simulated X-ray powder pattern. Radiation: a wavelength of 1.5418 Å. Structure: a cell relaxed with PBE.
Lines closer than 0.1° are merged.

The 6 most intense peaks (2θ = 10–90°), low angle first:
| 2θ (°) | Rel. int. | hkl |
| --- | --- | --- |
| 20.16 | 21 | 1 0 1 |
| 23.52 | 18 | 0 1 2 |
| 33.08 | 100 | 1 1 0 |
| 33.92 | 47 | 1 0 4 |
| 40.14 | 22 | 0 1 5 |
| 59.62 | 16 | 2 1 4 |

```
data_KCoH3
_cell_length_a 5.4164
_cell_length_b 5.4164
_cell_length_c 12.7968
_cell_angle_alpha 90.00
_cell_angle_beta 90.00
_cell_angle_gamma 120.00
_space_group_name_H-M_alt 'R 3 m'
_space_group_IT_number 160
_space_group_name_Hall 'R 3 -2"'
loop_
_atom_site_label
_atom_site_fract_x
_atom_site_fract_y
_atom_site_fract_z
K1 0.0000 0.0000 0.0000
K2 0.0000 0.0000 0.2296
Co1 0.0000 0.0000 0.5624
Co2 0.0000 0.0000 0.7545
H1 0.1676 0.3352 0.4941
H2 0.2176 0.4353 0.3190
```

=====

Please write out number 4 again, unchanged.
This entry pairs a crystal structure of CoSn2H6Ir with its simulated X-ray powder pattern. Radiation: a wavelength of 1.5418 Å. Structure: a cell relaxed with PBE.
Lines closer than 0.1° are merged.

The 6 most intense peaks (2θ = 10–90°), low angle first:
| 2θ (°) | Rel. int. | hkl |
| --- | --- | --- |
| 18.27 | 78 | 1 0 0 |
| 26.94 | 94 | 0 1 1 |
| 27.15 | 98 | 1 1 0 |
| 28.01 | 78 | 1 0 1 |
| 41.81 | 100 | 0 1 2 |
| 43.45 | 74 | 2 1 -1 |

```
data_CoSn2H6Ir
_cell_length_a 4.939
_cell_length_b 4.458
_cell_length_c 5.025
_cell_angle_alpha 90.00
_cell_angle_beta 100.49
_cell_angle_gamma 90.00
_space_group_name_H-M_alt 'P 1 m 1'
_space_group_IT_number 6
loop_
_space_group_symop_operation_xyz
'x,y,z'
'x,-y,z'
loop_
_atom_site_label
_atom_site_fract_x
_atom_site_fract_y
_atom_site_fract_z
Co1 0.000 0.000 0.000
Sn1 0.485 0.000 0.933
Sn2 0.960 0.500 0.247
H1 0.087 0.000 0.306
H2 0.415 0.500 0.796
H3 0.541 0.259 0.474
H4 0.985 0.229 0.739
Ir1 0.708 0.500 0.683
```

=====

Which formula does entry 2 have?
PuInCo2H8